Entry 1:
Starting from a GGA-PBE-relaxed structure, the powder diffraction line list of Eu3Ga8 was simulated for Cu Kα (λ = 1.5418 Å).
No peak broadening, texture or thermal motion is included.

```
data_Eu3Ga8
_space_group_name_H-M_alt 'I m m m'
_space_group_IT_number 71
_space_group_name_Hall '-I 2 2'
_cell_length_a 4.415
_cell_length_b 4.538
_cell_length_c 25.623
_cell_angle_alpha 90.00
_cell_angle_beta 90.00
_cell_angle_gamma 90.00
loop_
_atom_site_label
_atom_site_fract_x
_atom_site_fract_y
_atom_site_fract_z
_atom_site_occupancy
Eu1 0.000 0.000 0.000 1
Eu2 0.000 0.500 0.352 1
Ga1 0.000 0.000 0.248 1
Ga2 0.000 0.000 0.452 1
Ga3 0.000 0.500 0.095 1
Ga4 0.000 0.500 0.193 1
```

Largest 12 diffraction maxima, in order of falling intensity, 2θ = 5–70°:
| 2θ/deg | Rel. int. | h k l |
| --- | --- | --- |
| 31.53 | 100 | 1 1 4 |
| 31.40 | 48 | 0 1 7 |
| 39.73 | 30 | 0 2 0 |
| 40.88 | 28 | 2 0 0 |
| 43.95 | 23 | 1 0 11 |
| 52.44 | 23 | 2 1 7 |
| 58.31 | 21 | 2 2 0 |
| 29.07 | 19 | 1 1 2 |
| 37.59 | 18 | 1 0 9 |
| 60.72 | 17 | 1 2 11 |
| 66.91 | 16 | 0 3 7 |
| 50.48 | 13 | 0 1 13 |

***

Entry 2:
Starting from a GGA-PBE-relaxed structure, the powder diffraction line list of Eu3Ga4Ge6 was simulated for Cu Kα (λ = 1.5418 Å).
No peak broadening, texture or thermal motion is included.

```
data_Eu3Ga4Ge6
_space_group_name_H-M_alt 'C 1 2/m 1'
_space_group_IT_number 12
_cell_length_a 23.848
_cell_length_b 4.465
_cell_length_c 10.856
_cell_angle_alpha 90.00
_cell_angle_beta 91.57
_cell_angle_gamma 90.00
loop_
_space_group_symop_operation_xyz
'x,y,z'
'-x,-y,-z'
'-x,y,-z'
'x,-y,z'
'x+1/2,y+1/2,z'
'-x+1/2,-y+1/2,-z'
'-x+1/2,y+1/2,-z'
'x+1/2,-y+1/2,z'
loop_
_atom_site_label
_atom_site_fract_x
_atom_site_fract_y
_atom_site_fract_z
_atom_site_occupancy
Eu1 0.023 0.000 0.332 1
Eu2 0.145 0.000 0.600 1
Eu3 0.173 0.500 0.044 1
Ga1 0.066 0.500 0.774 1
Ga2 0.076 0.000 0.083 1
Ga3 0.138 0.500 0.378 1
Ga4 0.240 0.500 0.757 1
Ge1 0.025 0.500 0.103 1
Ge2 0.052 0.500 0.535 1
Ge3 0.104 0.000 0.862 1
Ge4 0.152 0.000 0.263 1
Ge5 0.209 0.000 0.856 1
Ge6 0.228 0.500 0.521 1
```

Largest 12 diffraction maxima, in order of falling intensity, 2θ = 5–70°:
| 2θ/deg | Rel. int. | h k l |
| --- | --- | --- |
| 40.40 | 100 | 0 2 0 |
| 28.75 | 94 | 5 1 1 |
| 32.15 | 84 | 1 1 3 |
| 34.08 | 74 | 2 0 4 |
| 31.76 | 73 | 5 1 -2 |
| 33.04 | 57 | 6 0 -3 |
| 31.35 | 51 | 8 0 1 |
| 36.77 | 50 | 5 1 -3 |
| 34.31 | 43 | 7 1 1 |
| 33.95 | 30 | 7 1 -1 |
| 53.86 | 26 | 2 2 4 |
| 53.13 | 26 | 6 2 -3 |

***

Entry 3:
Starting from a GGA-PBE-relaxed structure, the powder diffraction line list of EuGaGe2O7 was simulated for Cu Kα (λ = 1.5418 Å).
No peak broadening, texture or thermal motion is included.

```
data_EuGaGe2O7
_space_group_name_H-M_alt 'P 1 21/c 1'
_space_group_IT_number 14
_cell_length_a 7.367
_cell_length_b 6.669
_cell_length_c 13.031
_cell_angle_alpha 90.00
_cell_angle_beta 117.57
_cell_angle_gamma 90.00
loop_
_space_group_symop_operation_xyz
'x,y,z'
'-x,-y,-z'
'-x,y+1/2,-z+1/2'
'x,-y+1/2,z+1/2'
loop_
_atom_site_label
_atom_site_fract_x
_atom_site_fract_y
_atom_site_fract_z
_atom_site_occupancy
Eu1 0.242 0.146 0.474 1
Ga1 0.213 0.100 0.731 1
Ge1 0.211 0.658 0.453 1
Ge2 0.301 0.589 0.718 1
O1 0.011 0.662 0.919 1
O2 0.157 0.688 0.186 1
O3 0.203 0.053 0.870 1
O4 0.224 0.109 0.279 1
O5 0.249 0.503 0.574 1
O6 0.409 0.676 0.978 1
O7 0.432 0.127 0.695 1
```

Largest 12 diffraction maxima, in order of falling intensity, 2θ = 5–70°:
| 2θ/deg | Rel. int. | h k l |
| --- | --- | --- |
| 27.34 | 100 | 2 0 0 |
| 29.44 | 49 | 1 2 -1 |
| 30.97 | 35 | 0 0 4 |
| 30.38 | 25 | 2 0 -4 |
| 32.68 | 23 | 1 2 1 |
| 35.62 | 21 | 0 2 3 |
| 44.31 | 16 | 1 2 -5 |
| 47.38 | 15 | 3 2 -1 |
| 27.83 | 14 | 0 2 1 |
| 15.34 | 14 | 0 0 2 |
| 52.13 | 13 | 2 2 3 |
| 62.58 | 12 | 2 4 0 |